Structure and simulated powder diffractogram of CaLa3Sb4 (DFT lattice parameters and positions (PBE); a wavelength of 1.5418 Å).
Peak positions follow from Bragg's law for the DFT cell and can differ from measured ones.

The 10 most intense peaks (2θ from 10° to 90°), in order of falling intensity:
Position (°2θ)	d/Å	I (rel.)	(hkl)
27.36	3.260	100	2 0 0
39.08	2.305	77	2 2 0
63.86	1.458	35	4 2 0
48.37	1.882	28	2 2 2
70.81	1.331	26	4 2 2
56.46	1.630	13	4 0 0
83.97	1.152	8	4 4 0
13.58	6.519	5	1 0 0
19.25	4.610	5	1 1 0
30.67	2.915	3	2 1 0

Cell and atoms:
abc: 6.5190 6.5190 6.5190
angles: 90.00 90.00 90.00
Space group Pm-3m (No. 221)
Unique sites:
Ca  0.0000  0.0000  0.0000 [1 per cell]
La  0.0000  0.5000  0.5000 [3 per cell]
Sb  0.0000  0.0000  0.5000 [3 per cell]
Sb  0.5000  0.5000  0.5000 [1 per cell]